Entry 1:
Diffraction record for Ce3SnGe2. The powder diffractogram is theoretical, not measured: it uses a crystal structure in Alexandria, relaxed with GGA-PBE and copper Kα.
Lines closer than 0.1° are merged.

Principal peaks in the range 2θ from 10° to 90°, low angle first:
| 2theta | d (Å) | intensity |
| --- | --- | --- |
| 33.75 | 2.656 | 100 |
| 35.02 | 2.562 | 20 |
| 39.87 | 2.261 | 16 |
| 42.31 | 2.136 | 14 |
| 54.09 | 1.695 | 12 |
| 62.00 | 1.497 | 13 |
| 68.49 | 1.370 | 13 |
| 71.91 | 1.313 | 11 |

Structural model:
Unit cell a=8.013 b=8.013 c=4.272 alpha=90.00 beta=90.00 gamma=147.22
Element x y z (fractional)
Ce (0.000, 0.000, 0.000)
Ce (0.178, 0.822, 0.500)
Ce (0.822, 0.178, 0.500)
Sn (0.500, 0.500, 0.500)
Ge (0.348, 0.652, 0.000)
Ge (0.652, 0.348, 0.000)



Entry 2:
Diffraction record for Ce4SnGe. The powder diffractogram is theoretical, not measured: it uses a crystal structure in Alexandria, relaxed with GGA-PBE and copper Kα.
Lines closer than 0.1° are merged.

Principal peaks in the range 2θ from 10° to 90°, low angle first:
| 2theta | d (Å) | intensity |
| --- | --- | --- |
| 22.83 | 3.895 | 94 |
| 24.48 | 3.636 | 84 |
| 31.58 | 2.833 | 89 |
| 36.02 | 2.494 | 95 |
| 36.13 | 2.486 | 100 |
| 37.96 | 2.370 | 57 |
| 50.18 | 1.818 | 49 |
| 67.35 | 1.390 | 32 |

Structural model:
Unit cell a=5.023 b=5.023 c=8.898 alpha=99.40 beta=99.40 gamma=56.31
Element x y z (fractional)
Ce (0.145, 0.145, 0.335)
Ce (0.349, 0.349, 0.131)
Ce (0.651, 0.651, 0.869)
Ce (0.855, 0.855, 0.665)
Sn (0.500, 0.500, 0.500)
Ge (0.000, 0.000, 0.000)



Entry 3:
Diffraction record for Ce6Tc2Ge. The powder diffractogram is theoretical, not measured: it uses a crystal structure in Alexandria, relaxed with GGA-PBE and copper Kα.
Lines closer than 0.1° are merged.

Principal peaks in the range 2θ from 10° to 90°, low angle first:
| 2theta | d (Å) | intensity |
| --- | --- | --- |
| 10.27 | 8.610 | 35 |
| 29.60 | 3.018 | 34 |
| 31.16 | 2.870 | 41 |
| 32.27 | 2.774 | 100 |
| 32.98 | 2.716 | 70 |
| 34.89 | 2.572 | 47 |
| 36.26 | 2.477 | 86 |
| 43.19 | 2.095 | 36 |

Structural model:
Unit cell a=5.630 b=5.630 c=8.665 alpha=95.80 beta=95.80 gamma=52.22
Element x y z (fractional)
Ce (0.047, 0.047, 0.354)
Ce (0.309, 0.309, 0.894)
Ce (0.390, 0.390, 0.331)
Ce (0.610, 0.610, 0.669)
Ce (0.691, 0.691, 0.106)
Ce (0.953, 0.953, 0.646)
Tc (0.273, 0.273, 0.619)
Tc (0.727, 0.727, 0.381)
Ge (0.000, 0.000, 0.000)



Entry 4:
Diffraction record for Ce5TcGe4. The powder diffractogram is theoretical, not measured: it uses a crystal structure in Alexandria, relaxed with GGA-PBE and copper Kα.
Lines closer than 0.1° are merged.

Principal peaks in the range 2θ from 10° to 90°, low angle first:
| 2theta | d (Å) | intensity |
| --- | --- | --- |
| 26.05 | 3.420 | 15 |
| 30.17 | 2.962 | 100 |
| 43.19 | 2.095 | 71 |
| 51.13 | 1.786 | 7 |
| 53.59 | 1.710 | 24 |
| 62.73 | 1.481 | 11 |
| 71.18 | 1.325 | 28 |
| 79.21 | 1.209 | 19 |

Structural model:
Unit cell a=7.255 b=7.255 c=7.255 alpha=99.60 beta=99.60 gamma=131.78
Element x y z (fractional)
Ce (0.000, 0.000, 0.000)
Ce (0.164, 0.351, 0.624)
Ce (0.351, 0.727, 0.187)
Ce (0.540, 0.164, 0.813)
Ce (0.727, 0.540, 0.376)
Tc (0.408, 0.408, 0.000)
Ge (0.040, 0.641, 0.787)
Ge (0.253, 0.040, 0.399)
Ge (0.641, 0.854, 0.601)
Ge (0.854, 0.253, 0.213)